(1)
For Ti8C5, a DFT-relaxed cell (GGA-PBE, the Materials Project) gives the simulated powder XRD pattern in this record (copper Kα).

Atomic structure:
```
Ti8C5
1.0
3.069 1.772 4.963
-3.069 1.772 4.963
0.000 -3.544 4.963
Ti C
8 5
Cartesian
-1.577 -0.911 8.653 Ti
0.000 0.000 3.606 Ti
0.000 -1.821 6.237 Ti
-1.577 0.911 6.237 Ti
1.577 -0.911 8.653 Ti
0.000 1.821 8.653 Ti
0.000 0.000 11.284 Ti
1.577 0.911 6.237 Ti
0.000 0.000 0.000 C
-3.069 0.000 7.445 C
-1.535 0.886 2.482 C
1.535 0.886 2.482 C
0.000 0.000 7.445 C
```

Main lines, in order of rising 2θ (15 to 90 degrees two-theta):
2theta, I_rel
17.9, 7
35.9, 92
36.2, 29
41.8, 100
60.3, 29
60.7, 28
72.2, 10
72.4, 20
72.8, 9
76.0, 14

---

(2)
For Ti3C, a DFT-relaxed cell (GGA-PBE, the Materials Project) gives the simulated powder XRD pattern in this record (copper Kα).

Atomic structure:
```
Ti3C
1.0
3.707 0.000 0.000
0.000 3.707 0.000
0.000 0.000 3.707
Ti C
3 1
Cartesian
0.000 0.000 1.854 Ti
0.000 1.854 0.000 Ti
1.854 0.000 0.000 Ti
1.854 1.854 1.854 C
```

Main lines, in order of rising 2θ (15 to 90 degrees two-theta):
2theta, I_rel
24.0, 20
34.2, 16
42.2, 100
49.2, 46
55.4, 8
61.2, 6
72.1, 26
77.2, 3
82.2, 2
87.2, 30

---

(3)
For Ti8C5, a DFT-relaxed cell (GGA-PBE, the Materials Project) gives the simulated powder XRD pattern in this record (copper Kα).

Atomic structure:
```
Ti8C5
1.0
1.547 0.893 19.433
-1.547 0.893 19.433
0.000 -1.787 19.433
Ti C
8 5
Cartesian
0.000 0.000 3.564 Ti
0.000 0.000 10.906 Ti
0.000 0.000 18.151 Ti
0.000 0.000 25.564 Ti
0.000 0.000 32.735 Ti
0.000 0.000 40.148 Ti
0.000 0.000 47.393 Ti
0.000 0.000 54.734 Ti
0.000 0.000 7.184 C
0.000 0.000 21.860 C
0.000 0.000 29.149 C
0.000 0.000 36.438 C
0.000 0.000 51.114 C
```

Main lines, in order of rising 2θ (15 to 90 degrees two-theta):
2theta, I_rel
18.3, 6
35.7, 95
37.0, 28
41.8, 100
59.8, 31
61.6, 27
71.6, 11
72.4, 20
74.0, 9
75.6, 14

---

(4)
For Ti3C2, a DFT-relaxed cell (GGA-PBE, the Materials Project) gives the simulated powder XRD pattern in this record (copper Kα).

Atomic structure:
```
Ti3C2
1.0
3.071 0.000 0.000
-1.535 2.659 0.000
0.000 0.000 15.131
Ti C
6 4
Cartesian
0.000 0.000 0.000 Ti
0.000 0.000 7.565 Ti
0.000 1.773 2.372 Ti
0.000 1.773 5.193 Ti
1.535 0.886 9.938 Ti
1.535 0.886 12.759 Ti
0.000 1.773 8.865 C
0.000 1.773 13.831 C
1.535 0.886 1.300 C
1.535 0.886 6.266 C
```

Main lines, in order of rising 2θ (15 to 90 degrees two-theta):
2theta, I_rel
34.2, 84
35.6, 47
35.8, 78
41.5, 100
45.4, 78
54.7, 18
60.3, 51
71.8, 16
72.0, 32
75.8, 14

---

(5)
For Ti2TlC, a DFT-relaxed cell (GGA-PBE, the Materials Project) gives the simulated powder XRD pattern in this record (copper Kα).

Atomic structure:
```
Ti2TlC
1.0
3.179 0.000 0.000
-1.589 2.753 0.000
0.000 0.000 14.240
Ti Tl C
4 2 2
Cartesian
0.000 1.835 1.098 Ti
0.000 1.835 6.022 Ti
1.589 0.918 8.218 Ti
1.589 0.918 13.142 Ti
0.000 1.835 10.680 Tl
1.589 0.918 3.560 Tl
0.000 0.000 0.000 C
0.000 0.000 7.120 C
```

Main lines, in order of rising 2θ (15 to 90 degrees two-theta):
2theta, I_rel
25.0, 23
32.5, 22
33.1, 40
34.9, 13
37.8, 100
37.9, 20
50.8, 16
58.0, 20
68.4, 22
71.4, 34

---

(6)
For Ti3TlC, a DFT-relaxed cell (GGA-PBE, the Materials Project) gives the simulated powder XRD pattern in this record (copper Kα).

Atomic structure:
```
Ti3TlC
1.0
4.261 0.000 0.000
0.000 4.261 0.000
0.000 0.000 4.261
Ti Tl C
3 1 1
Cartesian
0.000 0.000 2.130 Ti
0.000 2.130 0.000 Ti
2.130 0.000 0.000 Ti
2.130 2.130 2.130 Tl
0.000 0.000 0.000 C
```

Main lines, in order of rising 2θ (15 to 90 degrees two-theta):
2theta, I_rel
20.8, 52
29.7, 62
36.5, 100
42.4, 55
47.7, 28
52.6, 26
61.6, 35
65.8, 14
73.8, 37
85.2, 14

---

(7)
For Ti4WC5, a DFT-relaxed cell (GGA-PBE, the Materials Project) gives the simulated powder XRD pattern in this record (copper Kα).

Atomic structure:
```
Ti4WC5
1.0
1.533 0.885 12.582
-1.533 0.885 12.582
0.000 -1.770 12.582
Ti W C
4 1 5
Cartesian
0.000 0.000 3.750 Ti
0.000 0.000 11.334 Ti
0.000 0.000 26.413 Ti
0.000 0.000 33.998 Ti
0.000 0.000 18.874 W
0.000 0.000 0.000 C
0.000 0.000 7.555 C
0.000 0.000 15.100 C
0.000 0.000 22.647 C
0.000 0.000 30.192 C
```

Main lines, in order of rising 2θ (15 to 90 degrees two-theta):
2theta, I_rel
21.2, 19
33.8, 18
34.1, 18
35.1, 17
35.7, 30
35.8, 88
41.6, 100
60.1, 31
60.4, 31
72.1, 23

---

(8)
For ZrTiC2, a DFT-relaxed cell (GGA-PBE, the Materials Project) gives the simulated powder XRD pattern in this record (copper Kα).

Atomic structure:
```
ZrTiC2
1.0
3.224 0.000 0.000
0.000 3.224 0.000
0.000 0.000 4.536
Zr Ti C
1 1 2
Cartesian
0.000 0.000 0.000 Zr
1.612 1.612 2.268 Ti
0.000 0.000 2.268 C
1.612 1.612 0.000 C
```

Main lines, in order of rising 2θ (15 to 90 degrees two-theta):
2theta, I_rel
19.6, 15
27.7, 13
34.1, 100
39.5, 60
39.7, 29
57.2, 18
57.3, 37
68.3, 26
68.6, 13
71.9, 18

---

(9)
For ZrTiC2, a DFT-relaxed cell (GGA-PBE, the Materials Project) gives the simulated powder XRD pattern in this record (copper Kα).

Atomic structure:
```
ZrTiC2
1.0
1.610 0.929 5.216
-1.610 0.929 5.216
0.000 -1.859 5.216
Zr Ti C
1 1 2
Cartesian
0.000 0.000 0.000 Zr
0.000 0.000 7.823 Ti
0.000 0.000 3.823 C
0.000 0.000 11.824 C
```

Main lines, in order of rising 2θ (15 to 90 degrees two-theta):
2theta, I_rel
17.0, 20
32.6, 15
34.1, 85
34.4, 28
39.7, 100
57.2, 31
57.6, 30
68.3, 11
68.5, 22
71.9, 15

---

(10)
For TlC, a DFT-relaxed cell (GGA-PBE, the Materials Project) gives the simulated powder XRD pattern in this record (copper Kα).

Atomic structure:
```
TlC
1.0
3.732 0.000 0.000
-1.866 3.232 0.000
0.000 0.000 6.303
Tl C
2 2
Cartesian
0.000 2.155 0.000 Tl
1.866 1.077 3.152 Tl
0.000 2.155 4.026 C
1.866 1.077 0.874 C
```

Main lines, in order of rising 2θ (15 to 90 degrees two-theta):
2theta, I_rel
27.6, 27
28.3, 30
31.1, 100
40.0, 18
48.8, 23
51.9, 28
57.4, 26
59.0, 17
74.0, 10
80.0, 15

---

(11)
For Tm3TlC, a DFT-relaxed cell (GGA-PBE, the Materials Project) gives the simulated powder XRD pattern in this record (copper Kα).

Atomic structure:
```
Tm3TlC
1.0
5.532 0.000 0.000
0.000 5.532 0.000
0.000 0.000 5.532
Tm Tl C
3 1 1
Cartesian
0.000 0.000 2.766 Tm
0.000 2.766 0.000 Tm
2.766 0.000 0.000 Tm
0.000 0.000 0.000 Tl
2.766 2.766 2.766 C
```

Main lines, in order of rising 2θ (15 to 90 degrees two-theta):
2theta, I_rel
16.0, 100
27.9, 29
32.4, 75
36.3, 55
46.4, 55
49.4, 29
57.7, 19
70.1, 17
77.1, 25
86.1, 19

---

(12)
For Y3TlC, a DFT-relaxed cell (GGA-PBE, the Materials Project) gives the simulated powder XRD pattern in this record (copper Kα).

Atomic structure:
```
Y3TlC
1.0
4.932 0.000 0.000
0.000 4.932 0.000
0.000 0.000 4.932
Y Tl C
3 1 1
Cartesian
0.000 0.000 2.466 Y
0.000 2.466 0.000 Y
2.466 0.000 0.000 Y
2.466 2.466 2.466 Tl
0.000 0.000 0.000 C
```

Main lines, in order of rising 2θ (15 to 90 degrees two-theta):
2theta, I_rel
18.0, 11
25.5, 17
31.4, 100
36.4, 55
45.0, 8
52.5, 38
62.5, 42
65.6, 13
85.9, 17
88.7, 17

---

(13)
For TmC2, a DFT-relaxed cell (GGA-PBE, the Materials Project) gives the simulated powder XRD pattern in this record (copper Kα).

Atomic structure:
```
TmC2
1.0
-1.801 1.801 3.057
1.801 -1.801 3.057
1.801 1.801 -3.057
Tm C
1 2
Cartesian
0.000 0.000 0.000 Tm
0.000 0.000 2.404 C
0.000 0.000 3.711 C
```

Main lines, in order of rising 2θ (15 to 90 degrees two-theta):
2theta, I_rel
28.8, 100
29.2, 32
35.2, 47
46.4, 36
50.7, 16
51.5, 28
59.3, 28
59.6, 17
72.1, 8
75.2, 18

---

(14)
For Tm2C3, a DFT-relaxed cell (GGA-PBE, the Materials Project) gives the simulated powder XRD pattern in this record (copper Kα).

Atomic structure:
```
Tm2C3
1.0
-4.045 4.045 4.045
4.045 -4.045 4.045
4.045 4.045 -4.045
Tm C
8 12
Cartesian
3.638 0.407 -0.407 Tm
5.661 -1.615 1.615 Tm
0.407 0.407 0.407 Tm
0.407 -0.407 3.638 Tm
-0.407 3.638 0.407 Tm
1.615 5.661 -1.615 Tm
2.430 2.430 2.430 Tm
-1.615 1.615 5.661 Tm
6.068 0.340 0.000 C
6.068 1.683 0.000 C
2.362 0.000 2.023 C
3.706 0.000 2.023 C
2.023 2.362 0.000 C
2.023 3.706 0.000 C
0.000 2.023 2.362 C
0.000 2.023 3.706 C
0.340 0.000 6.068 C
1.683 0.000 6.068 C
0.000 6.068 0.340 C
0.000 6.068 1.683 C
```

Main lines, in order of rising 2θ (15 to 90 degrees two-theta):
2theta, I_rel
27.0, 48
31.3, 100
35.1, 95
41.8, 49
53.1, 28
55.7, 15
58.1, 63
62.9, 28
76.3, 19
88.9, 21